# 1
For K5Zn4Sn5H4S17N, the PBE geometry in Alexandria gives the theoretical powder XRD pattern in this record (Cu Kα).

```
36
Lattice="-7.030 7.030 4.812 7.030 -7.030 4.812 7.030 7.030 -4.812" Properties=species:S:1:pos:R:3 pbc="T T T"
K 0.000 0.000 0.000
K 3.677 3.677 0.000
K 3.353 -3.353 4.812
K -3.353 3.353 4.812
K 3.353 3.353 4.812
Zn 7.030 5.099 -1.347
Zn 0.000 1.931 3.464
Zn 5.099 7.030 1.347
Zn 1.931 0.000 6.159
Sn 7.030 0.000 2.406
Sn 3.883 7.030 -2.160
Sn 3.147 0.000 2.652
Sn 7.030 3.883 2.160
Sn 0.000 3.147 6.971
H 0.000 6.195 1.799
H 0.000 7.865 1.799
H -0.835 7.030 3.013
H 0.835 7.030 3.013
S 5.111 5.042 -2.722
S 8.949 5.042 -2.722
S 5.032 0.000 1.006
S 9.029 0.000 1.006
S 7.030 3.085 -0.109
S 7.030 -1.998 3.806
S -1.919 1.988 2.090
S 1.919 1.988 2.090
S 0.000 0.000 4.812
S 3.085 7.030 0.109
S 3.945 0.000 4.921
S 7.030 1.998 3.806
S 5.042 5.111 2.722
S 1.988 -1.919 7.533
S 0.000 3.945 4.703
S 5.042 8.949 2.722
S 1.988 1.919 7.533
N 0.000 7.030 2.406
```

Top 12 peaks for 10° ≤ 2θ ≤ 90°, by angle:
2θ (°)	I_rel
11.14	1000
25.34	249
25.77	166
27.31	379
27.75	340
33.19	174
33.86	157
35.63	158
42.76	245
52.98	233
53.14	198
53.39	168

# 2
For Tb10ThSc4, the PBE geometry in Alexandria gives the theoretical powder XRD pattern in this record (Cu Kα).

```
15
Lattice="-5.763 5.763 3.692 5.763 -5.763 3.692 5.763 5.763 -3.692" Properties=species:S:1:pos:R:3 pbc="T T T"
Tb 4.451 -2.904 2.092
Tb 8.667 -1.312 1.600
Tb 5.763 0.000 1.846
Tb 2.859 1.312 1.600
Tb -1.312 2.859 1.600
Tb 7.075 2.904 2.092
Tb 2.904 4.451 2.092
Tb 0.000 5.763 1.846
Tb -2.904 7.075 2.092
Tb 1.312 8.667 1.600
Th 0.000 0.000 0.000
Sc 4.963 3.444 0.000
Sc 2.319 -0.801 3.692
Sc 3.444 6.564 0.000
Sc 0.801 2.319 3.692
```

Top 12 peaks for 10° ≤ 2θ ≤ 90°, by angle:
2θ (°)	I_rel
21.02	178
24.10	299
24.42	748
26.50	280
30.47	212
34.58	1000
34.81	666
40.61	220
42.79	235
47.14	230
61.80	233
70.15	170